[1]
For AcPr, the PBE geometry in Alexandria gives the computed X-ray powder pattern in this record (Cu Kα).

Crystal structure
```
data_AcPr
_space_group_name_H-M_alt 'R 3 m'
_space_group_IT_number 160
_space_group_name_Hall 'R 3 -2"'
_cell_length_a 3.8508
_cell_length_b 3.8508
_cell_length_c 38.7836
_cell_angle_alpha 90.00
_cell_angle_beta 90.00
_cell_angle_gamma 120.00
loop_
_atom_site_label
_atom_site_type_symbol
_atom_site_fract_x
_atom_site_fract_y
_atom_site_fract_z
_atom_site_occupancy
Ac1 Ac 0.0000 0.0000 0.0000 1
Ac2 Ac 0.0000 0.0000 0.0984 1
Pr1 Pr 0.0000 0.0000 0.5878 1
Pr2 Pr 0.0000 0.0000 0.8433 1
```

Main lines, by angle (10 to 90 degrees two-theta):
| Position (°2θ) | Rel. int. | index |
| --- | --- | --- |
| 26.83 | 74 | 1 0 1 |
| 27.13 | 72 | 0 1 2 |
| 27.60 | 73 | 0 0 12 |
| 28.30 | 70 | 1 0 4 |
| 32.59 | 100 | 0 1 8 |
| 47.21 | 65 | 1 1 0 |

[2]
For Ac6Pr, the PBE geometry in Alexandria gives the computed X-ray powder pattern in this record (Cu Kα).

Crystal structure
```
data_Ac6Pr
_space_group_name_H-M_alt 'P 4/n b m'
_space_group_IT_number 125
_cell_length_a 7.207
_cell_length_b 7.207
_cell_length_c 12.446
_cell_angle_alpha 90.00
_cell_angle_beta 90.00
_cell_angle_gamma 90.00
loop_
_space_group_symop_operation_xyz
'x,y,z'
'-x,-y,-z'
'-y+1/2,x,z'
'y+1/2,-x,-z'
'-x+1/2,-y+1/2,z'
'x+1/2,y+1/2,-z'
'y,-x+1/2,z'
'-y,x+1/2,-z'
'x,-y+1/2,-z'
'-x,y+1/2,z'
'-y+1/2,-x+1/2,-z'
'y+1/2,x+1/2,z'
'-x+1/2,y,-z'
'x+1/2,-y,z'
'y,x,-z'
'-y,-x,z'
loop_
_atom_site_label
_atom_site_type_symbol
_atom_site_fract_x
_atom_site_fract_y
_atom_site_fract_z
_atom_site_occupancy
Ac1 Ac 0.078 0.578 0.137 1
Ac2 Ac 0.250 0.250 0.361 1
Pr1 Pr 0.250 0.750 0.500 1
```

Main lines, by angle (10 to 90 degrees two-theta):
| Position (°2θ) | Rel. int. | index |
| --- | --- | --- |
| 25.74 | 88 | 2 0 1 |
| 27.73 | 65 | 1 1 3 |
| 28.64 | 100 | 0 0 4 |
| 31.25 | 81 | 2 1 2 |
| 35.24 | 43 | 2 2 0 |
| 49.58 | 51 | 3 1 4 |

[3]
For Ac3Pr13, the PBE geometry in Alexandria gives the computed X-ray powder pattern in this record (Cu Kα).

Crystal structure
```
data_Ac3Pr13
_space_group_name_H-M_alt 'A m m 2'
_space_group_IT_number 38
_space_group_name_Hall 'A 2 -2'
_cell_length_a 10.679
_cell_length_b 10.611
_cell_length_c 10.652
_cell_angle_alpha 90.00
_cell_angle_beta 90.00
_cell_angle_gamma 90.00
loop_
_atom_site_label
_atom_site_type_symbol
_atom_site_fract_x
_atom_site_fract_y
_atom_site_fract_z
_atom_site_occupancy
Ac1 Ac 0.000 0.000 0.000 1
Ac2 Ac 0.254 0.000 0.257 1
Pr1 Pr 0.000 0.000 0.508 1
Pr2 Pr 0.000 0.248 0.754 1
Pr3 Pr 0.252 0.000 0.752 1
Pr4 Pr 0.252 0.249 0.505 1
Pr5 Pr 0.500 0.000 0.001 1
Pr6 Pr 0.500 0.000 0.509 1
Pr7 Pr 0.500 0.245 0.755 1
```

Main lines, by angle (10 to 90 degrees two-theta):
| Position (°2θ) | Rel. int. | index |
| --- | --- | --- |
| 29.05 | 100 | 2 2 2 |
| 33.61 | 34 | 4 0 0 |
| 33.79 | 17 | 0 4 0 |
| 48.32 | 25 | 4 4 0 |
| 57.27 | 15 | 6 2 2 |
| 57.39 | 15 | 2 2 6 |

[4]
For Ac5Pr7, the PBE geometry in Alexandria gives the computed X-ray powder pattern in this record (Cu Kα).

Crystal structure
```
data_Ac5Pr7
_space_group_name_H-M_alt 'C 1 2/m 1'
_space_group_IT_number 12
_space_group_name_Hall '-C 2y'
_cell_length_a 19.966
_cell_length_b 3.861
_cell_length_c 14.090
_cell_angle_alpha 90.00
_cell_angle_beta 118.41
_cell_angle_gamma 90.00
loop_
_atom_site_label
_atom_site_type_symbol
_atom_site_fract_x
_atom_site_fract_y
_atom_site_fract_z
_atom_site_occupancy
Ac1 Ac 0.000 0.000 0.000 1
Ac2 Ac 0.164 0.000 0.495 1
Ac3 Ac 0.194 0.500 0.753 1
Pr1 Pr 0.000 0.500 0.500 1
Pr2 Pr 0.027 0.000 0.751 1
Pr3 Pr 0.138 0.500 0.248 1
Pr4 Pr 0.165 0.500 0.996 1
```

Main lines, by angle (10 to 90 degrees two-theta):
| Position (°2θ) | Rel. int. | index |
| --- | --- | --- |
| 27.67 | 38 | 3 1 -2 |
| 28.82 | 40 | 0 0 4 |
| 30.41 | 100 | 6 0 -4 |
| 34.54 | 22 | 3 1 2 |
| 52.05 | 23 | 6 0 -8 |
| 56.17 | 25 | 0 2 4 |